(1)
Sc5Se3: simulated XRD peak list (Cu Ka), based on a structure optimized by DFT (PBE).
Lines closer than 0.1° are merged.

Structural model:
```
data_Sc5Se3
_chemical_formula_sum 'Sc20 Se12'
_cell_length_a 10.5609
_cell_length_b 8.2083
_cell_length_c 7.2699
_cell_angle_alpha 90.00
_cell_angle_beta 90.00
_cell_angle_gamma 90.00
_symmetry_space_group_name_H-M 'P 1'
_symmetry_Int_Tables_number 1
_symmetry_space_group_name_Hall 'P 1'
loop_
_atom_site_label
_atom_site_type_symbol
_atom_site_fract_x
_atom_site_fract_y
_atom_site_fract_z
Sc1 Sc 0.0030 0.2500 0.0231
Sc2 Sc 0.0682 0.0590 0.6827
Sc3 Sc 0.0682 0.4410 0.6827
Sc4 Sc 0.2020 0.7500 0.3472
Sc5 Sc 0.2257 0.2500 0.3352
Sc6 Sc 0.2743 0.7500 0.8352
Sc7 Sc 0.2980 0.2500 0.8472
Sc8 Sc 0.4318 0.5589 0.1827
Sc9 Sc 0.4318 0.9410 0.1827
Sc10 Sc 0.4970 0.7500 0.5231
Sc11 Sc 0.5030 0.2500 0.4769
Sc12 Sc 0.5682 0.0590 0.8173
Sc13 Sc 0.5682 0.4410 0.8173
Sc14 Sc 0.7020 0.7500 0.1528
Sc15 Sc 0.7257 0.2500 0.1648
Sc16 Sc 0.7743 0.7500 0.6648
Sc17 Sc 0.7980 0.2500 0.6528
Sc18 Sc 0.9318 0.5589 0.3173
Sc19 Sc 0.9318 0.9410 0.3173
Sc20 Sc 0.9970 0.7500 0.9769
Se1 Se 0.0225 0.7500 0.6041
Se2 Se 0.1738 0.5084 0.0664
Se3 Se 0.1738 0.9916 0.0664
Se4 Se 0.3262 0.0084 0.5664
Se5 Se 0.3262 0.4916 0.5664
Se6 Se 0.4775 0.2500 0.1041
Se7 Se 0.5225 0.7500 0.8959
Se8 Se 0.6738 0.5084 0.4336
Se9 Se 0.6738 0.9916 0.4336
Se10 Se 0.8262 0.0084 0.9336
Se11 Se 0.8262 0.4916 0.9336
Se12 Se 0.9775 0.2500 0.3959
```

The 10 most intense peaks (2θ = 15–90°), low angle first:
- 26.33 deg, I = 25
- 28.16 deg, I = 45
- 34.02 deg, I = 100
- 35.80 deg, I = 62
- 36.20 deg, I = 53
- 37.17 deg, I = 75
- 38.10 deg, I = 33
- 40.63 deg, I = 39
- 44.13 deg, I = 42
- 46.81 deg, I = 24

=====

(2)
Ba2NpP2N6: simulated XRD peak list (Cu Ka), based on a structure optimized by DFT (PBE).
Lines closer than 0.1° are merged.

Structural model:
```
data_Ba2NpP2N6
_chemical_formula_sum 'Ba2 Np1 P2 N6'
_cell_length_a 6.5460
_cell_length_b 6.5460
_cell_length_c 6.5460
_cell_angle_alpha 53.17
_cell_angle_beta 53.17
_cell_angle_gamma 53.17
_symmetry_space_group_name_H-M 'P 1'
_symmetry_Int_Tables_number 1
_symmetry_space_group_name_Hall 'P 1'
loop_
_atom_site_label
_atom_site_type_symbol
_atom_site_fract_x
_atom_site_fract_y
_atom_site_fract_z
Ba1 Ba 0.2303 0.2303 0.2303
Ba2 Ba 0.7697 0.7697 0.7697
Np1 Np 0.0000 0.0000 0.0000
P1 P 0.4334 0.4334 0.4334
P2 P 0.5666 0.5666 0.5666
N1 N 0.2519 0.2519 0.7210
N2 N 0.2519 0.7210 0.2519
N3 N 0.2790 0.7481 0.7481
N4 N 0.7210 0.2519 0.2519
N5 N 0.7481 0.2790 0.7481
N6 N 0.7481 0.7481 0.2790
```

The 10 most intense peaks (2θ = 15–90°), low angle first:
- 18.26 deg, I = 46
- 27.56 deg, I = 84
- 30.51 deg, I = 100
- 31.93 deg, I = 59
- 41.58 deg, I = 44
- 52.44 deg, I = 31
- 54.23 deg, I = 20
- 55.13 deg, I = 23
- 58.61 deg, I = 31
- 75.90 deg, I = 21

=====

(3)
PmNi2Sn2: simulated XRD peak list (Cu Ka), based on a structure optimized by DFT (PBE).
Lines closer than 0.1° are merged.

Structural model:
```
data_PmNi2Sn2
_chemical_formula_sum 'Pm2 Ni4 Sn4'
_cell_length_a 4.4642
_cell_length_b 4.4071
_cell_length_c 10.1827
_cell_angle_alpha 90.00
_cell_angle_beta 91.74
_cell_angle_gamma 90.00
_symmetry_space_group_name_H-M 'P 1'
_symmetry_Int_Tables_number 1
_symmetry_space_group_name_Hall 'P 1'
loop_
_atom_site_label
_atom_site_type_symbol
_atom_site_fract_x
_atom_site_fract_y
_atom_site_fract_z
Pm1 Pm 0.2330 0.2500 0.2390
Pm2 Pm 0.7670 0.7500 0.7610
Ni1 Ni 0.1989 0.7500 0.0002
Ni2 Ni 0.2580 0.2500 0.6298
Ni3 Ni 0.7420 0.7500 0.3702
Ni4 Ni 0.8011 0.2500 0.9998
Sn1 Sn 0.2504 0.7500 0.4990
Sn2 Sn 0.2862 0.2500 0.8764
Sn3 Sn 0.7138 0.7500 0.1236
Sn4 Sn 0.7496 0.2500 0.5010
```

The 10 most intense peaks (2θ = 15–90°), low angle first:
- 28.47 deg, I = 16
- 33.27 deg, I = 100
- 33.67 deg, I = 22
- 33.90 deg, I = 43
- 40.43 deg, I = 35
- 40.96 deg, I = 38
- 49.31 deg, I = 14
- 54.03 deg, I = 19
- 58.91 deg, I = 23
- 69.74 deg, I = 16

=====

Q: Which formula does entry 2 have?
A: Ba2NpP2N6